No. 1
Simulated X-ray diffraction stick pattern
Compound: Hg3Cl2O2
Radiation: CuKα
Structure: a cell relaxed with GGA-PBE
Lines closer than 0.1° are merged.

Main lines, low angle first (10° ≤ 2θ ≤ 90°):
- 2θ 18.7, rel. 51, (0 1 1)
- 2θ 25.9, rel. 84, (1 0 -2)
- 2θ 28.8, rel. 100, (0 2 1)
- 2θ 30.4, rel. 89, (2 1 -1)
- 2θ 35.2, rel. 59, (1 2 1)
- 2θ 37.0, rel. 45, (1 0 2)
- 2θ 41.0, rel. 43, (1 1 -3)
- 2θ 57.9, rel. 44, (0 0 4)

abc: 6.486 7.104 6.958
angles: 90.00 113.75 90.00
Space group P2_1/c (No. 14)
Inequivalent atoms, fractional coordinates:
1 Hg 0.000 0.000 0.000 (multiplicity 2)
2 Hg 0.423 0.136 0.761 (multiplicity 4)
3 Cl 0.220 0.626 0.961 (multiplicity 4)
4 O 0.325 0.104 0.060 (multiplicity 4)



No. 2
Simulated X-ray diffraction stick pattern
Compound: Zr2AlSi
Radiation: CuKα
Structure: a cell relaxed with GGA-PBE
Lines closer than 0.1° are merged.

Main lines, low angle first (10° ≤ 2θ ≤ 90°):
- 2θ 29.1, rel. 46, (1 0 2)
- 2θ 34.1, rel. 100, (1 1 1)
- 2θ 35.2, rel. 73, (0 0 4)
- 2θ 42.6, rel. 48, (1 0 4)
- 2θ 47.2, rel. 38, (2 0 0)
- 2θ 56.4, rel. 31, (1 1 5)
- 2θ 60.3, rel. 40, (2 0 4)
- 2θ 69.0, rel. 23, (2 2 0)

abc: 3.849 3.854 10.181
angles: 90.00 90.00 90.00
Space group Amm2 (No. 38)
Inequivalent atoms, fractional coordinates:
1 Zr 0.000 0.000 0.000 (multiplicity 2)
2 Zr 0.500 0.000 0.287 (multiplicity 2)
3 Al 0.500 0.000 0.564 (multiplicity 2)
4 Si 0.000 0.000 0.723 (multiplicity 2)